This entry pairs a crystal structure of HfZn11 with its theoretical powder diffraction line list. Radiation: λ = 1.5418 Å (Cu Kα). Structure: a DFT-relaxed cell (GGA-PBE, Alexandria).
Lines closer than 0.1° are merged.

Largest 8 diffraction maxima, low angle first, 2θ = 10–90°:
| Position (°2θ) | I_rel |
| --- | --- |
| 29.0 | 179 |
| 33.8 | 377 |
| 38.1 | 1000 |
| 38.7 | 594 |
| 40.8 | 276 |
| 45.6 | 345 |
| 47.4 | 197 |
| 69.7 | 275 |

Atomic structure:
abc: 10.3963 10.3963 6.7824
angles: 90.00 90.00 90.00
Space group I4_1/amd (No. 141, origin choice 2)
Asymmetric unit:
Hf: 0.0000 0.2500 0.3750 [4 per cell]
Zn: 0.0000 0.0000 0.0000 [8 per cell]
Zn: 0.0000 0.2500 0.8750 [4 per cell]
Zn: 0.1199 0.0468 0.6717 [32 per cell]